[1]
Starting from a structure optimized by DFT (PBE), the powder diffractogram of K3NdF6 was simulated for a wavelength of 1.5418 Å.

Most intense lines, 2θ = 10–80°, sorted by position:
2θ = 13.60°, d 6.513, I = 100, (1 1 0); 2θ = 17.16°, d 5.167, I = 26, (0 2 0); 2θ = 24.35°, d 3.655, I = 49, (1 0 1); 2θ = 27.39°, d 3.256, I = 47, (2 2 0); 2θ = 29.94°, d 2.984, I = 39, (1 2 1); 2θ = 34.73°, d 2.583, I = 30, (0 4 0); 2θ = 39.11°, d 2.303, I = 43, (3 0 1); 2θ = 42.87°, d 2.110, I = 34, (1 4 1); 2θ = 44.63°, d 2.031, I = 23, (0 0 2); 2θ = 53.29°, d 1.719, I = 24, (3 4 1)

Crystal structure
```
data_K3NdF6
_chemical_formula_sum 'K6 Nd2 F12'
_cell_length_a 8.3891
_cell_length_b 10.3332
_cell_length_c 4.0610
_cell_angle_alpha 90.00
_cell_angle_beta 90.00
_cell_angle_gamma 90.00
_space_group_name_H-M_alt 'P n n m'
_space_group_IT_number 58
loop_
_space_group_symop_operation_xyz
'x,y,z'
'-x,-y,-z'
'-x,-y,z'
'x,y,-z'
'x+1/2,-y+1/2,-z+1/2'
'-x+1/2,y+1/2,z+1/2'
'-x+1/2,y+1/2,-z+1/2'
'x+1/2,-y+1/2,z+1/2'
loop_
_atom_site_label
_atom_site_type_symbol
_atom_site_fract_x
_atom_site_fract_y
_atom_site_fract_z
K1 K 0.0000 0.0000 0.0000
K2 K 0.2203 0.2518 0.5000
Nd1 Nd 0.0000 0.5000 0.0000
F1 F 0.0289 0.2684 0.0000
F2 F 0.1133 0.5869 0.5000
F3 F 0.2191 0.9609 0.5000
```

***

[2]
Starting from a structure optimized by DFT (PBE), the powder diffractogram of K2NdTlF8 was simulated for a wavelength of 1.5418 Å.

Most intense lines, 2θ = 10–80°, sorted by position:
2θ = 14.09°, d 6.284, I = 72, (0 0 1); 2θ = 22.45°, d 3.960, I = 37, (0 2 0); 2θ = 26.58°, d 3.354, I = 100, (1 0 -1); 2θ = 26.70°, d 3.339, I = 33, (1 0 1); 2θ = 31.96°, d 2.800, I = 16, (1 2 0); 2θ = 36.47°, d 2.464, I = 17, (1 0 -2); 2θ = 43.19°, d 2.094, I = 32, (1 2 -2); 2θ = 43.37°, d 2.086, I = 30, (1 2 2); 2θ = 49.17°, d 1.853, I = 18, (0 2 3); 2θ = 53.74°, d 1.706, I = 28, (1 4 1)

Crystal structure
```
data_K2NdTlF8
_chemical_formula_sum 'K2 Nd1 Tl1 F8'
_cell_length_a 3.9548
_cell_length_b 7.9303
_cell_length_c 6.2839
_cell_angle_alpha 90.00
_cell_angle_beta 90.31
_cell_angle_gamma 90.00
_space_group_name_H-M_alt 'P 1 2/m 1'
_space_group_IT_number 10
loop_
_space_group_symop_operation_xyz
'x,y,z'
'-x,-y,-z'
'-x,y,-z'
'x,-y,z'
loop_
_atom_site_label
_atom_site_type_symbol
_atom_site_fract_x
_atom_site_fract_y
_atom_site_fract_z
K1 K 0.0000 0.2428 0.0000
Nd1 Nd 0.5000 0.5000 0.5000
Tl1 Tl 0.5000 0.0000 0.5000
F1 F 0.0007 0.5000 0.7134
F2 F 0.0049 0.0000 0.2956
F3 F 0.4972 0.2437 0.7070
```

***

- Number 1 is which compound?
  K3NdF6